Structure and theoretical X-ray diffraction stick pattern of RePbO4 (a crystal structure in Alexandria, relaxed with PBE; Cu Kα (weighted mean of Kα1 and Kα2)).
Lines closer than 0.1° are merged.

```
data_RePbO4
_chemical_formula_sum 'Re4 Pb4 O16'
_cell_length_a 7.798
_cell_length_b 7.798
_cell_length_c 7.073
_cell_angle_alpha 90.00
_cell_angle_beta 90.00
_cell_angle_gamma 90.00
_space_group_name_H-M_alt 'I 41/a m d'
_space_group_IT_number 141
loop_
_space_group_symop_operation_xyz
'x,y,z'
'-x,-y,-z'
'-y+1/4,x+3/4,z+1/4'
'y+1/4,-x+3/4,-z+1/4'
'-x+1/2,-y,z+1/2'
'x+1/2,y,-z+1/2'
'y+1/4,-x+1/4,z+3/4'
'-y+1/4,x+1/4,-z+3/4'
'x,-y,-z'
'-x,y,z'
'-y+1/4,-x+1/4,-z+3/4'
'y+1/4,x+1/4,z+3/4'
'-x+1/2,y,-z+1/2'
'x+1/2,-y,z+1/2'
'y+1/4,x+3/4,-z+1/4'
'-y+1/4,-x+3/4,z+1/4'
'x+1/2,y+1/2,z+1/2'
'-x+1/2,-y+1/2,-z+1/2'
'-y+3/4,x+1/4,z+3/4'
'y+3/4,-x+1/4,-z+3/4'
'-x,-y+1/2,z'
'x,y+1/2,-z'
'y+3/4,-x+3/4,z+1/4'
'-y+3/4,x+3/4,-z+1/4'
'x+1/2,-y+1/2,-z+1/2'
'-x+1/2,y+1/2,z+1/2'
'-y+3/4,-x+3/4,-z+1/4'
'y+3/4,x+3/4,z+1/4'
'-x,y+1/2,-z'
'x,-y+1/2,z'
'y+3/4,x+1/4,-z+3/4'
'-y+3/4,-x+1/4,z+3/4'
loop_
_atom_site_label
_atom_site_fract_x
_atom_site_fract_y
_atom_site_fract_z
_atom_site_occupancy
Re1 0.000 0.250 0.375 1
Pb1 0.000 0.250 0.875 1
O1 0.000 0.073 0.212 1
```

Top 6 peaks for 5° ≤ 2θ ≤ 70°, sorted by position:
two_theta	I_rel	index
22.81	100	2 0 0
30.02	88	1 1 2
32.47	31	2 2 0
44.81	67	3 1 2
56.42	19	3 3 2
66.62	19	5 1 2